# 1
Computed powder XRD pattern
Compound: Rb2TaCr2S6
Radiation: Cu Kα X-rays
Structure: a DFT-relaxed cell (GGA-PBE, Alexandria)
Neutral-atom scattering factors, no anomalous dispersion.

Crystal structure
Unit cell a=6.100 b=6.100 c=8.092 alpha=96.98 beta=96.98 gamma=120.20
Fractional positions:
Rb: 0.165 0.835 0.000
Rb: 0.835 0.165 0.000
Ta: 0.000 0.000 0.500
Cr: 0.333 0.667 0.500
Cr: 0.667 0.333 0.500
S: 0.058 0.398 0.674
S: 0.287 0.287 0.325
S: 0.398 0.058 0.674
S: 0.602 0.942 0.326
S: 0.713 0.713 0.675
S: 0.942 0.602 0.326

Largest 6 diffraction maxima, low angle first, 10 to 90 degrees two-theta:
| Position (°2θ) | d [Å] | I_rel |
| --- | --- | --- |
| 11.3 | 7.848 | 77.8 |
| 17.2 | 5.152 | 53.0 |
| 20.2 | 4.386 | 36.2 |
| 22.7 | 3.924 | 39.7 |
| 33.0 | 2.712 | 100.0 |
| 33.3 | 2.694 | 49.6 |

---

# 2
Computed powder XRD pattern
Compound: RbCr3Se6
Radiation: Cu Kα X-rays
Structure: a DFT-relaxed cell (GGA-PBE, Alexandria)
Neutral-atom scattering factors, no anomalous dispersion.

Crystal structure
Unit cell a=11.572 b=3.633 c=12.364 alpha=90.00 beta=110.99 gamma=90.00
Fractional positions:
Rb: 0.135 0.250 0.388
Rb: 0.865 0.750 0.612
Cr: 0.150 0.250 0.035
Cr: 0.282 0.750 0.768
Cr: 0.489 0.750 0.285
Cr: 0.511 0.250 0.715
Cr: 0.718 0.250 0.232
Cr: 0.850 0.750 0.965
Se: 0.057 0.750 0.124
Se: 0.137 0.250 0.675
Se: 0.230 0.750 0.950
Se: 0.334 0.250 0.232
Se: 0.370 0.750 0.604
Se: 0.440 0.250 0.870
Se: 0.560 0.750 0.130
Se: 0.630 0.250 0.396
Se: 0.666 0.750 0.768
Se: 0.770 0.250 0.050
Se: 0.863 0.750 0.325
Se: 0.943 0.250 0.876

Largest 6 diffraction maxima, low angle first, 10 to 90 degrees two-theta:
| Position (°2θ) | d [Å] | I_rel |
| --- | --- | --- |
| 31.2 | 2.869 | 32.9 |
| 32.2 | 2.784 | 100.0 |
| 33.1 | 2.709 | 34.8 |
| 33.9 | 2.643 | 47.9 |
| 50.2 | 1.816 | 33.0 |
| 53.9 | 1.700 | 38.4 |

---

# 3
Computed powder XRD pattern
Compound: RbCr4Se8
Radiation: Cu Kα X-rays
Structure: a DFT-relaxed cell (GGA-PBE, Alexandria)
Neutral-atom scattering factors, no anomalous dispersion.

Crystal structure
Unit cell a=9.628 b=9.628 c=9.628 alpha=42.95 beta=42.95 gamma=42.95
Fractional positions:
Rb: 0.000 0.000 0.000
Cr: 0.000 0.000 0.500
Cr: 0.000 0.500 0.000
Cr: 0.500 0.000 0.000
Cr: 0.500 0.500 0.500
Se: 0.223 0.223 0.223
Se: 0.224 0.722 0.722
Se: 0.278 0.278 0.776
Se: 0.278 0.776 0.278
Se: 0.722 0.224 0.722
Se: 0.722 0.722 0.224
Se: 0.776 0.278 0.278
Se: 0.777 0.777 0.777

Largest 6 diffraction maxima, low angle first, 10 to 90 degrees two-theta:
| Position (°2θ) | d [Å] | I_rel |
| --- | --- | --- |
| 10.1 | 8.725 | 100.0 |
| 32.4 | 2.766 | 59.7 |
| 34.0 | 2.637 | 10.3 |
| 38.1 | 2.365 | 31.5 |
| 48.5 | 1.877 | 15.6 |
| 51.9 | 1.762 | 20.9 |